Structure and calculated powder diffraction line list of NdEr4S7 (a crystal structure in Alexandria, relaxed with PBE; Cu Kα (λ = 1.5418 Å)).
Kinematic intensities with the Lorentz-polarization factor, no thermal factor.

Cell: 12.9098 3.7987 11.6345 Å, 90.00 104.37 90.00°
Space group Cm (No. 8)
Inequivalent atoms, fractional coordinates:
Nd  0.0000  0.0000  0.0000 x2
Er  0.1126  0.0000  0.4224 x2
Er  0.2235  0.0000  0.8368 x2
Er  0.3123  0.5000  0.2352 x2
Er  0.4115  0.0000  0.6046 x2
S  0.0680  0.0000  0.6338 x2
S  0.1156  0.5000  0.9127 x2
S  0.1577  0.0000  0.2120 x2
S  0.2708  0.5000  0.4705 x2
S  0.3492  0.5000  0.7659 x2
S  0.3614  0.0000  0.0692 x2
S  0.4547  0.0000  0.3699 x2

Peak list (10 most intense, 15° ≤ 2θ ≤ 90°, by angle)
two_theta  Rel. int.
23.7  912
24.4  1000
26.3  317
27.7  398
31.5  345
33.2  462
34.2  391
42.0  279
43.3  282
47.4  330

Structure and calculated powder diffraction line list of Nd2Er2Se2S3 (a crystal structure in Alexandria, relaxed with PBE; Cu Kα (λ = 1.5418 Å)).
Kinematic intensities with the Lorentz-polarization factor, no thermal factor.

Cell: 4.9998 4.9998 20.1396 Å, 90.00 90.00 90.00°
Space group I4/mmm (No. 139)
Inequivalent atoms, fractional coordinates:
Nd  0.0000  0.0000  0.1841 x4
Er  0.0000  0.5000  0.0000 x4
Se  0.0000  0.0000  0.3785 x4
S  0.0000  0.0000  0.5000 x2
S  0.0000  0.5000  0.2500 x4

Peak list (10 most intense, 15° ≤ 2θ ≤ 90°, by angle)
two_theta  Rel. int.
22.2  316
26.6  311
26.7  830
28.5  490
30.9  1000
35.9  943
44.2  302
45.2  301
51.7  357
59.1  332

Structure and calculated powder diffraction line list of TbNd4Er3S8 (a crystal structure in Alexandria, relaxed with PBE; Cu Kα (λ = 1.5418 Å)).
Kinematic intensities with the Lorentz-polarization factor, no thermal factor.

Cell: 7.8724 7.8724 19.8900 Å, 90.00 90.00 120.00°
Space group R-3m (No. 166, hexagonal axes)
Inequivalent atoms, fractional coordinates:
Tb  0.0000  0.0000  0.0000 x3
Nd  0.0000  0.0000  0.5000 x3
Nd  0.0000  0.5000  0.5000 x9
Er  0.0000  0.5000  0.0000 x9
S  0.0000  0.0000  0.2569 x6
S  0.0030  0.5015  0.2562 x18

Peak list (10 most intense, 15° ≤ 2θ ≤ 90°, by angle)
two_theta  Rel. int.
26.9  213
27.7  587
31.8  1000
45.1  368
46.1  352
54.2  197
57.1  184
74.9  159
76.4  156
84.7  120